Computed powder X-ray diffraction pattern
Compound: Cs2PrCu2O4
Radiation: a wavelength of 1.5418 Å
Structure: a PBE-relaxed structure
Intensities are scaled so that the largest is 100.

Atomic structure:
abc: 13.958 3.670 6.929
angles: 90.00 107.17 90.00
Space group C2/m (No. 12)
One atom of each set of equivalent atoms:
Cs  0.136  0.000  0.066 [4 per cell]
Pr  0.000  0.000  0.500 [2 per cell]
Cu  0.175  0.500  0.505 [4 per cell]
O  0.030  0.500  0.296 [4 per cell]
O  0.190  0.000  0.616 [4 per cell]

Most intense lines, 15 to 90 degrees two-theta, by intensity:
2θ/deg	d/Å	I (rel.)	(hkl)
31.97	2.799	100	3 1 -1
36.81	2.442	94	3 1 1
26.94	3.310	81	0 0 2
35.66	2.518	64	1 1 -2
25.17	3.539	54	1 1 0
26.14	3.409	47	4 0 -1
33.47	2.677	31	4 0 1
49.68	1.835	29	0 2 0
57.59	1.601	28	3 1 3
66.07	1.414	26	9 1 -2